Mg7Si4: computed powder diffractogram (λ = 1.5418 Å (Cu Kα)), based on a structure optimized by DFT (PBE).
Peak positions follow from Bragg's law for the DFT cell and can differ from measured ones.

Largest 10 diffraction maxima, in order of rising 2θ, 2θ from 5° to 70°:
2θ (°)	I/Imax	hkl
33.1	65	1 0 -4
33.7	56	0 1 -4
34.4	88	2 0 -1
34.6	58	-1 2 2
35.3	100	1 2 3
36.3	78	1 1 5
38.4	54	1 -2 2
40.9	53	0 0 6
41.7	76	2 -1 3
45.3	54	-1 1 6

Cell and atoms:
a b c (Å): 5.4571 6.1811 13.6303
angles (deg): 77.28 84.32 89.30
Fractional positions:
Mg  0.0000  0.0000  0.0000
Mg  0.0019  0.3859  0.1731
Mg  0.2614  0.8353  0.7960
Mg  0.2766  0.4612  0.6259
Mg  0.2976  0.9722  0.5676
Mg  0.4373  0.3168  0.8454
Mg  0.5021  0.1766  0.1064
Mg  0.5259  0.6467  0.1598
Mg  0.6469  0.5306  0.4216
Mg  0.7588  0.6890  0.6687
Mg  0.7645  0.2051  0.6242
Mg  0.7801  0.0386  0.4243
Mg  0.8308  0.5319  0.9440
Mg  0.9868  0.8585  0.2336
Si  0.1133  0.3438  0.4493
Si  0.1480  0.7332  0.4346
Si  0.3041  0.5579  0.9922
Si  0.3959  0.2818  0.3091
Si  0.4637  0.9018  0.3005
Si  0.5010  0.9117  0.9721
Si  0.7633  0.9397  0.8154
Si  0.9633  0.2931  0.7951